No. 1
# NbI4
Simulated powder XRD pattern, Cu Kα, 1.54184 Å. Input: the GGA-PBE geometry in Alexandria.
Lines closer than 0.1° are merged.

Main lines, in order of rising 2θ (2θ = 10–90°):
2θ (°)	intensity
11.77	28
13.85	30
25.22	26
26.85	51
28.76	100
34.85	24
36.37	24
42.91	24
46.68	31
54.68	12

Cell and atoms:
```
20
Lattice="3.892 -7.063 0.000 3.892 7.063 0.000 0.000 0.000 15.042" Properties=species:S:1:pos:R:3 pbc="T T T"
Nb 1.659 1.749 0.000
Nb 1.659 -1.749 7.521
Nb 6.125 1.749 0.000
Nb 6.125 -1.749 7.521
I 3.892 6.963 13.796
I 1.893 3.263 12.787
I 1.901 0.232 2.252
I 3.892 3.466 8.767
I 1.901 -0.232 9.773
I 3.892 3.327 1.063
I 1.893 -3.263 5.266
I 3.892 0.172 13.977
I 3.892 -0.172 6.457
I 5.890 3.263 12.787
I 3.892 -3.327 8.583
I 5.883 0.232 2.252
I 3.892 -3.466 1.247
I 5.883 -0.232 9.773
I 5.890 -3.263 5.266
I 3.892 -6.963 6.275
```

=====

No. 2
# Sr2NbNiI
Simulated powder XRD pattern, Cu Kα, 1.54184 Å. Input: the GGA-PBE geometry in Alexandria.
Lines closer than 0.1° are merged.

Main lines, in order of rising 2θ (2θ = 10–90°):
2θ (°)	intensity
20.78	12
28.53	100
29.56	89
39.25	20
42.29	33
49.89	40
51.81	37
59.06	24
69.56	15
82.90	18

Cell and atoms:
```
5
Lattice="6.044 0.000 0.000 0.000 6.044 0.000 0.000 0.000 4.591" Properties=species:S:1:pos:R:3 pbc="T T T"
Sr 0.000 3.022 0.000
Sr 3.022 0.000 0.000
Nb 0.000 0.000 2.296
Ni 0.000 0.000 0.000
I 3.022 3.022 2.296
```

=====

No. 3
# NbI2O2
Simulated powder XRD pattern, Cu Kα, 1.54184 Å. Input: the GGA-PBE geometry in Alexandria.
Lines closer than 0.1° are merged.

Main lines, in order of rising 2θ (2θ = 10–90°):
2θ (°)	intensity
14.48	42
25.88	29
29.20	83
30.35	100
33.78	55
42.62	79
43.45	54
53.21	58
71.05	24
79.18	27

Cell and atoms:
```
5
Lattice="4.165 0.000 0.000 0.000 4.165 0.000 0.000 0.000 6.116" Properties=species:S:1:pos:R:3 pbc="T T T"
Nb 0.000 0.000 0.000
I 0.000 0.000 3.058
I 2.083 2.083 3.058
O 0.000 2.083 0.000
O 2.083 0.000 0.000
```

=====

No. 4
# NbIO6
Simulated powder XRD pattern, Cu Kα, 1.54184 Å. Input: the GGA-PBE geometry in Alexandria.
Lines closer than 0.1° are merged.

Main lines, in order of rising 2θ (2θ = 10–90°):
2θ (°)	intensity
18.44	100
24.90	83
30.78	39
40.84	37
42.22	28
47.19	13
51.08	13
54.09	21
57.42	18
64.14	23

Cell and atoms:
```
16
Lattice="4.912 0.000 0.000 0.000 9.625 0.000 -1.130 0.000 4.779" Properties=species:S:1:pos:R:3 pbc="T T T"
Nb 0.000 0.000 0.000
Nb 2.456 4.812 0.000
I -0.565 4.812 2.390
I 1.891 0.000 2.390
O 0.288 3.541 3.508
O 0.288 6.084 3.508
O 0.380 0.000 3.548
O 0.945 4.812 1.231
O 1.037 1.272 1.272
O 1.037 8.353 1.272
O 2.744 1.272 3.508
O 2.744 8.353 3.508
O 2.836 4.812 3.548
O 3.401 0.000 1.231
O 3.493 3.541 1.272
O 3.493 6.084 1.272
```

=====

No. 5
# Nb3I7O
Simulated powder XRD pattern, Cu Kα, 1.54184 Å. Input: the GGA-PBE geometry in Alexandria.
Lines closer than 0.1° are merged.

Main lines, in order of rising 2θ (2θ = 10–90°):
2θ (°)	intensity
11.94	43
18.04	15
24.00	14
27.63	14
29.75	100
36.55	42
45.95	27
47.97	21
54.33	16
57.47	14

Cell and atoms:
```
11
Lattice="7.586 0.000 0.000 -3.793 6.570 0.000 0.000 0.000 7.414" Properties=species:S:1:pos:R:3 pbc="T T T"
Nb -1.420 3.560 0.000
Nb 1.420 3.560 0.000
Nb 0.000 6.020 0.000
I 0.000 2.158 5.523
I -1.925 5.491 5.523
I 1.862 1.075 1.617
I 3.793 2.190 6.032
I 1.925 5.491 5.523
I 5.725 1.075 1.617
I 3.793 4.421 1.617
O 0.000 4.380 1.307
```

=====

No. 6
# NbPbIO6
Simulated powder XRD pattern, Cu Kα, 1.54184 Å. Input: the GGA-PBE geometry in Alexandria.
Lines closer than 0.1° are merged.

Main lines, in order of rising 2θ (2θ = 10–90°):
2θ (°)	intensity
24.45	100
31.64	37
37.81	10
40.39	25
46.30	31
52.19	25
53.88	10
56.36	11
71.60	10
73.01	9

Cell and atoms:
```
9
Lattice="5.655 0.000 0.000 -2.828 4.897 0.000 0.000 0.000 5.444" Properties=species:S:1:pos:R:3 pbc="T T T"
Nb 0.000 0.000 0.000
Pb 2.828 1.632 2.311
I 0.000 3.265 4.901
O -1.574 3.691 3.963
O 0.418 1.688 3.963
O 1.678 0.160 0.832
O 1.156 4.415 3.963
O 2.127 3.364 0.832
O 4.677 1.373 0.832
```

=====

No. 7
# Rb2NbPI6
Simulated powder XRD pattern, Cu Kα, 1.54184 Å. Input: the GGA-PBE geometry in Alexandria.
Lines closer than 0.1° are merged.

Main lines, in order of rising 2θ (2θ = 10–90°):
2θ (°)	intensity
14.46	14
26.08	100
29.15	63
32.20	25
41.70	22
43.99	40
49.85	30
53.65	21
53.81	13
77.72	13

Cell and atoms:
```
10
Lattice="-4.332 4.332 5.559 4.332 -4.332 5.559 4.332 4.332 -5.559" Properties=species:S:1:pos:R:3 pbc="T T T"
Rb 4.332 0.000 2.780
Rb 0.000 4.332 2.780
Nb 0.000 0.000 0.000
P 0.000 0.000 5.559
I 2.035 2.035 0.000
I 2.297 -2.297 5.559
I 0.000 0.000 2.856
I 0.000 0.000 8.263
I -2.297 2.297 5.559
I 2.297 2.297 5.559
```

=====

No. 8
# NbZnPI2
Simulated powder XRD pattern, Cu Kα, 1.54184 Å. Input: the GGA-PBE geometry in Alexandria.
Lines closer than 0.1° are merged.

Main lines, in order of rising 2θ (2θ = 10–90°):
2θ (°)	intensity
18.68	53
24.34	35
28.97	80
31.23	100
36.64	38
37.87	29
44.76	36
49.88	52
54.20	27
60.04	30

Cell and atoms:
```
5
Lattice="5.727 0.000 0.000 0.000 5.727 0.000 0.000 0.000 4.751" Properties=species:S:1:pos:R:3 pbc="T T T"
Nb 0.000 0.000 0.000
Zn 2.864 2.864 2.375
P 0.000 0.000 2.375
I 0.000 2.864 0.000
I 2.864 0.000 0.000
```

=====

No. 9
# NbPdSI
Simulated powder XRD pattern, Cu Kα, 1.54184 Å. Input: the GGA-PBE geometry in Alexandria.
Lines closer than 0.1° are merged.

Main lines, in order of rising 2θ (2θ = 10–90°):
2θ (°)	intensity
12.20	100
21.42	33
22.53	19
24.53	40
26.73	46
28.68	31
32.06	95
41.01	35
42.94	40
48.43	35

Cell and atoms:
```
4
Lattice="3.520 0.000 0.000 1.760 4.229 0.000 1.740 1.432 7.257" Properties=species:S:1:pos:R:3 pbc="T T T"
Nb 0.000 0.000 0.000
Pd 5.258 3.911 6.272
S 3.498 2.120 5.618
I 1.759 0.555 2.149
```

=====

No. 10
# NbPdSI
Simulated powder XRD pattern, Cu Kα, 1.54184 Å. Input: the GGA-PBE geometry in Alexandria.
Lines closer than 0.1° are merged.

Main lines, in order of rising 2θ (2θ = 10–90°):
2θ (°)	intensity
11.55	100
21.52	47
23.22	84
26.28	60
27.50	58
28.85	44
40.63	52
41.25	67
43.39	28
44.53	28

Cell and atoms:
```
4
Lattice="3.700 0.000 0.000 1.845 4.192 0.000 0.623 1.336 7.660" Properties=species:S:1:pos:R:3 pbc="T T T"
Nb 0.000 0.000 0.000
Pd 1.848 1.698 0.885
S 3.695 3.420 1.464
I 0.639 1.236 5.033
```

=====

No. 11
# Rb2NbI7
Simulated powder XRD pattern, Cu Kα, 1.54184 Å. Input: the GGA-PBE geometry in Alexandria.
Lines closer than 0.1° are merged.

Main lines, in order of rising 2θ (2θ = 10–90°):
2θ (°)	intensity
11.80	100
23.73	32
25.88	47
26.99	46
27.23	38
27.45	58
29.01	35
33.14	39
33.43	36
34.90	41

Cell and atoms:
```
20
Lattice="9.609 -4.493 0.000 9.609 4.493 0.000 -8.604 0.000 10.721" Properties=species:S:1:pos:R:3 pbc="T T T"
Rb -1.048 3.068 10.316
Rb 7.361 3.068 5.765
Rb 3.254 -3.068 4.956
Rb 11.662 -3.068 0.405
Nb 3.156 1.971 8.040
Nb 7.458 -1.971 2.680
I -0.389 0.107 2.875
I -4.691 -0.107 8.235
I 3.654 1.959 5.328
I 0.411 1.035 7.476
I 11.263 1.959 0.032
I 7.458 0.961 2.680
I 4.713 -1.035 2.116
I 5.902 1.035 8.604
I 3.156 -0.961 8.040
I -0.648 -1.959 10.688
I 10.204 -1.035 3.244
I 6.961 -1.959 5.393
I 15.305 0.107 2.485
I 11.004 -0.107 7.845
```